Calculated powder diffraction line list of UNiO3F6 for copper Kα, from a crystal structure in the Materials Project, relaxed with GGA+U.

Atomic structure:
a = 6.766 Å, b = 6.766 Å, c = 7.960 Å
α = 96.24°, β = 96.24°, γ = 59.67°
Atoms (fractional coordinates):
U1 0.067 0.933 0.750
U2 0.933 0.067 0.250
Ni1 0.000 0.500 0.000
Ni2 0.500 0.000 0.500
O1 0.311 0.318 0.441
O2 0.318 0.311 0.941
O3 0.340 0.660 0.750
O4 0.660 0.340 0.250
O5 0.682 0.689 0.059
O6 0.689 0.682 0.559
F1 0.046 0.797 0.495
F2 0.052 0.317 0.202
F3 0.095 0.698 0.161
F4 0.203 0.954 0.005
F5 0.302 0.905 0.339
F6 0.317 0.052 0.702
F7 0.683 0.948 0.298
F8 0.698 0.095 0.661
F9 0.797 0.046 0.995
F10 0.905 0.302 0.839
F11 0.948 0.683 0.798
F12 0.954 0.203 0.505

Peak list (8 most intense, 5° ≤ 2θ ≤ 70°, in order of rising 2θ)
2theta	I_rel
15.2	100.0
19.5	23.8
25.6	18.8
26.5	36.9
28.9	23.9
30.7	18.9
42.3	12.6
49.7	13.5

Calculated powder diffraction line list of NiPbF6 for copper Kα, from a crystal structure in the Materials Project, relaxed with GGA+U.

Atomic structure:
a = 5.659 Å, b = 5.659 Å, c = 5.659 Å
α = 55.30°, β = 55.30°, γ = 55.30°
Atoms (fractional coordinates):
Ni1 0.000 0.000 0.000
Pb1 0.500 0.500 0.500
F1 0.103 0.758 0.384
F2 0.242 0.616 0.897
F3 0.384 0.103 0.758
F4 0.616 0.897 0.242
F5 0.758 0.384 0.103
F6 0.897 0.242 0.616

Peak list (8 most intense, 5° ≤ 2θ ≤ 70°, in order of rising 2θ)
2theta	I_rel
20.5	29.1
23.2	100.0
31.8	38.6
34.1	21.4
39.1	19.4
41.7	16.9
51.7	30.3
54.9	17.7

Calculated powder diffraction line list of NiPtF6 for copper Kα, from a crystal structure in the Materials Project, relaxed with GGA+U.

Atomic structure:
a = 5.446 Å, b = 5.446 Å, c = 5.446 Å
α = 55.34°, β = 55.34°, γ = 55.34°
Atoms (fractional coordinates):
Ni1 0.000 0.000 0.000
Pt1 0.500 0.500 0.500
F1 0.108 0.399 0.745
F2 0.255 0.892 0.601
F3 0.399 0.745 0.108
F4 0.601 0.255 0.892
F5 0.745 0.108 0.399
F6 0.892 0.601 0.255

Peak list (8 most intense, 5° ≤ 2θ ≤ 70°, in order of rising 2θ)
2theta	I_rel
21.3	30.3
24.1	100.0
33.1	38.7
35.5	20.5
40.7	18.1
43.3	17.0
53.9	29.7
57.2	17.0

Calculated powder diffraction line list of Rb3NiF7 for copper Kα, from a crystal structure in the Materials Project, relaxed with GGA+U.

Atomic structure:
a = 8.120 Å, b = 8.120 Å, c = 5.942 Å
α = 90.00°, β = 90.00°, γ = 90.00°
Atoms (fractional coordinates):
Rb1 0.000 0.000 0.000
Rb2 0.190 0.310 0.500
Rb3 0.310 0.810 0.500
Rb4 0.500 0.500 0.000
Rb5 0.690 0.190 0.500
Rb6 0.810 0.690 0.500
Ni1 0.000 0.500 0.000
Ni2 0.500 0.000 0.000
F1 0.000 0.000 0.500
F2 0.110 0.610 0.217
F3 0.110 0.610 0.783
F4 0.157 0.343 0.000
F5 0.343 0.843 0.000
F6 0.390 0.110 0.217
F7 0.390 0.110 0.783
F8 0.500 0.500 0.500
F9 0.610 0.890 0.217
F10 0.610 0.890 0.783
F11 0.657 0.157 0.000
F12 0.843 0.657 0.000
F13 0.890 0.390 0.217
F14 0.890 0.390 0.783

Peak list (8 most intense, 5° ≤ 2θ ≤ 70°, in order of rising 2θ)
2theta	I_rel
24.5	16.3
26.6	100.0
28.8	21.3
30.1	29.3
31.2	41.3
34.9	17.8
39.2	39.1
43.9	29.7

Calculated powder diffraction line list of RbNiF3 for copper Kα, from a crystal structure in the Materials Project, relaxed with GGA+U.

Atomic structure:
a = 5.932 Å, b = 5.932 Å, c = 14.512 Å
α = 90.00°, β = 90.00°, γ = 120.00°
Atoms (fractional coordinates):
Rb1 0.000 0.000 0.250
Rb2 0.000 0.000 0.750
Rb3 0.333 0.667 0.093
Rb4 0.333 0.667 0.407
Rb5 0.667 0.333 0.593
Rb6 0.667 0.333 0.907
Ni1 0.000 0.000 0.000
Ni2 0.000 0.000 0.500
Ni3 0.333 0.667 0.655
Ni4 0.333 0.667 0.845
Ni5 0.667 0.333 0.155
Ni6 0.667 0.333 0.345
F1 0.037 0.518 0.750
F2 0.166 0.331 0.580
F3 0.166 0.331 0.920
F4 0.166 0.834 0.580
F5 0.166 0.834 0.920
F6 0.331 0.166 0.080
F7 0.331 0.166 0.420
F8 0.482 0.518 0.750
F9 0.482 0.963 0.750
F10 0.518 0.037 0.250
F11 0.518 0.482 0.250
F12 0.669 0.834 0.580
F13 0.669 0.834 0.920
F14 0.834 0.166 0.080
F15 0.834 0.166 0.420
F16 0.834 0.669 0.080
F17 0.834 0.669 0.420
F18 0.963 0.482 0.250

Peak list (8 most intense, 5° ≤ 2θ ≤ 70°, in order of rising 2θ)
2theta	I_rel
25.3	11.4
30.1	100.0
37.1	10.1
39.7	17.7
43.2	31.4
47.3	13.9
53.5	29.5
62.7	20.2

Calculated powder diffraction line list of Rb2NiF4 for copper Kα, from a crystal structure in the Materials Project, relaxed with GGA+U.

Atomic structure:
a = 7.532 Å, b = 7.532 Å, c = 7.532 Å
α = 147.93°, β = 147.93°, γ = 45.98°
Atoms (fractional coordinates):
Rb1 0.146 0.146 0.000
Rb2 0.854 0.854 0.000
Ni1 0.500 0.500 0.000
F1 0.000 0.500 0.500
F2 0.354 0.354 0.000
F3 0.500 0.000 0.500
F4 0.646 0.646 0.000

Peak list (8 most intense, 5° ≤ 2θ ≤ 70°, in order of rising 2θ)
2theta	I_rel
28.9	100.0
30.4	70.6
39.0	28.6
40.2	27.7
43.5	44.4
50.2	18.5
53.1	36.6
59.8	25.1

Calculated powder diffraction line list of NiSnF6 for copper Kα, from a crystal structure in the Materials Project, relaxed with GGA+U.

Atomic structure:
a = 5.546 Å, b = 5.546 Å, c = 5.546 Å
α = 56.07°, β = 56.07°, γ = 56.07°
Atoms (fractional coordinates):
Ni1 0.000 0.000 0.000
Sn1 0.500 0.500 0.500
F1 0.125 0.749 0.378
F2 0.251 0.622 0.875
F3 0.378 0.125 0.749
F4 0.622 0.875 0.251
F5 0.749 0.378 0.125
F6 0.875 0.251 0.622

Peak list (8 most intense, 5° ≤ 2θ ≤ 70°, in order of rising 2θ)
2theta	I_rel
23.5	100.0
32.4	31.0
34.4	15.4
39.6	14.6
48.0	17.4
52.7	29.9
55.4	16.0
60.4	12.4